Entry 1:
# ZnS
Theoretical powder X-ray diffraction pattern, copper Kα. Input: a cell relaxed with GGA-PBE.

Peak list (6 most intense, 5° ≤ 2θ ≤ 70°, low angle first)
two_theta	I_rel
27.46	27.1
28.07	53.5
28.49	100.0
28.63	21.8
46.91	88.8
55.81	62.9

Structural model:
Cell lengths 56.3898, 56.3898, 56.3898 Å; angles 3.94, 3.94, 3.94 degrees
Fractional coordinates of all 36 atoms:
Zn 0.0000 0.0000 0.0000
Zn 0.0370 0.0370 0.0370
Zn 0.0926 0.0926 0.0926
Zn 0.1296 0.1296 0.1296
Zn 0.1852 0.1852 0.1852
Zn 0.2407 0.2407 0.2407
Zn 0.2963 0.2963 0.2963
Zn 0.3518 0.3518 0.3518
Zn 0.4074 0.4074 0.4074
Zn 0.4815 0.4815 0.4815
Zn 0.5555 0.5555 0.5555
Zn 0.5926 0.5926 0.5926
Zn 0.6481 0.6481 0.6481
Zn 0.7222 0.7222 0.7222
Zn 0.7778 0.7778 0.7778
Zn 0.8333 0.8333 0.8333
Zn 0.8704 0.8704 0.8704
Zn 0.9444 0.9444 0.9444
S 0.0139 0.0139 0.0139
S 0.0509 0.0509 0.0509
S 0.1064 0.1064 0.1064
S 0.1435 0.1435 0.1435
S 0.1991 0.1991 0.1991
S 0.2546 0.2546 0.2546
S 0.3102 0.3102 0.3102
S 0.3657 0.3657 0.3657
S 0.4213 0.4213 0.4213
S 0.4954 0.4954 0.4954
S 0.5694 0.5694 0.5694
S 0.6065 0.6065 0.6065
S 0.6620 0.6620 0.6620
S 0.7361 0.7361 0.7361
S 0.7917 0.7917 0.7917
S 0.8472 0.8472 0.8472
S 0.8842 0.8842 0.8842
S 0.9583 0.9583 0.9583



Entry 2:
# ZnS
Theoretical powder X-ray diffraction pattern, copper Kα. Input: a cell relaxed with GGA-PBE.

Peak list (6 most intense, 5° ≤ 2θ ≤ 70°, low angle first)
two_theta	I_rel
27.99	76.7
28.34	100.0
28.79	52.9
46.11	27.8
47.17	98.4
55.95	65.9

Structural model:
Cell lengths 3.8529, 3.8529, 75.5910 Å; angles 90.00, 90.00, 120.00 degrees
Fractional coordinates of all 48 atoms:
Zn 0.0000 0.0000 0.0000
Zn 0.0000 0.0000 0.0833
Zn 0.0000 0.0000 0.2083
Zn 0.0000 0.0000 0.3333
Zn 0.0000 0.0000 0.4583
Zn 0.0000 0.0000 0.5833
Zn 0.0000 0.0000 0.6667
Zn 0.0000 0.0000 0.7917
Zn 0.0000 0.0000 0.8750
Zn 0.3333 0.6667 0.0417
Zn 0.3333 0.6667 0.1667
Zn 0.3333 0.6667 0.2917
Zn 0.3333 0.6667 0.3750
Zn 0.3333 0.6667 0.5000
Zn 0.3333 0.6667 0.6250
Zn 0.3333 0.6667 0.7500
Zn 0.3333 0.6667 0.9167
Zn 0.6667 0.3333 0.1250
Zn 0.6667 0.3333 0.2500
Zn 0.6667 0.3333 0.4167
Zn 0.6667 0.3333 0.5417
Zn 0.6667 0.3333 0.7083
Zn 0.6667 0.3333 0.8333
Zn 0.6667 0.3333 0.9583
S 0.0000 0.0000 0.0312
S 0.0000 0.0000 0.1146
S 0.0000 0.0000 0.2396
S 0.0000 0.0000 0.3646
S 0.0000 0.0000 0.4896
S 0.0000 0.0000 0.6145
S 0.0000 0.0000 0.6979
S 0.0000 0.0000 0.8229
S 0.0000 0.0000 0.9062
S 0.3333 0.6667 0.0729
S 0.3333 0.6667 0.1979
S 0.3333 0.6667 0.3229
S 0.3333 0.6667 0.4062
S 0.3333 0.6667 0.5312
S 0.3333 0.6667 0.6563
S 0.3333 0.6667 0.7812
S 0.3333 0.6667 0.9479
S 0.6667 0.3333 0.1562
S 0.6667 0.3333 0.2812
S 0.6667 0.3333 0.4479
S 0.6667 0.3333 0.5729
S 0.6667 0.3333 0.7396
S 0.6667 0.3333 0.8646
S 0.6667 0.3333 0.9896



Entry 3:
# ZnS
Theoretical powder X-ray diffraction pattern, copper Kα. Input: a cell relaxed with GGA-PBE.

Peak list (6 most intense, 5° ≤ 2θ ≤ 70°, low angle first)
two_theta	I_rel
27.17	71.9
28.37	87.4
29.29	100.0
47.23	95.0
49.30	53.1
56.02	63.7

Structural model:
Cell lengths 12.7808, 12.7808, 12.7808 Å; angles 17.32, 17.32, 17.32 degrees
Fractional coordinates of all 8 atoms:
Zn 0.0000 0.0000 0.0000
Zn 0.1667 0.1667 0.1667
Zn 0.4167 0.4167 0.4167
Zn 0.5834 0.5834 0.5834
S 0.0625 0.0625 0.0625
S 0.2293 0.2293 0.2293
S 0.4792 0.4792 0.4792
S 0.6458 0.6458 0.6458



Entry 4:
# ZnS
Theoretical powder X-ray diffraction pattern, copper Kα. Input: a cell relaxed with GGA-PBE.

Peak list (6 most intense, 5° ≤ 2θ ≤ 70°, low angle first)
two_theta	I_rel
26.99	29.9
27.78	70.3
28.34	100.0
29.87	45.9
47.17	95.5
55.94	63.9

Structural model:
Cell lengths 15.9104, 15.9104, 15.9104 Å; angles 13.91, 13.91, 13.91 degrees
Fractional coordinates of all 10 atoms:
Zn 0.0000 0.0000 0.0000
Zn 0.1334 0.1334 0.1334
Zn 0.2667 0.2667 0.2667
Zn 0.5334 0.5334 0.5334
Zn 0.7334 0.7334 0.7334
S 0.0834 0.0834 0.0834
S 0.2168 0.2168 0.2168
S 0.4833 0.4833 0.4833
S 0.6833 0.6833 0.6833
S 0.9501 0.9501 0.9501



Entry 5:
# ZnS
Theoretical powder X-ray diffraction pattern, copper Kα. Input: a cell relaxed with GGA-PBE.

Peak list (6 most intense, 5° ≤ 2θ ≤ 70°, low angle first)
two_theta	I_rel
28.05	79.1
28.35	74.1
28.53	100.0
47.17	90.3
47.56	42.8
55.95	60.5

Structural model:
Cell lengths 3.8539, 3.8539, 62.9710 Å; angles 90.00, 90.00, 120.00 degrees
Fractional coordinates of all 40 atoms:
Zn 0.0000 0.0000 0.0000
Zn 0.0000 0.0000 0.1500
Zn 0.0000 0.0000 0.3000
Zn 0.0000 0.0000 0.5000
Zn 0.0000 0.0000 0.6500
Zn 0.0000 0.0000 0.8000
Zn 0.3333 0.6667 0.0500
Zn 0.3333 0.6667 0.2000
Zn 0.3333 0.6667 0.3500
Zn 0.3333 0.6667 0.4500
Zn 0.3333 0.6667 0.6000
Zn 0.3333 0.6667 0.7500
Zn 0.3333 0.6667 0.9000
Zn 0.6667 0.3333 0.1000
Zn 0.6667 0.3333 0.2500
Zn 0.6667 0.3333 0.4000
Zn 0.6667 0.3333 0.5500
Zn 0.6667 0.3333 0.7000
Zn 0.6667 0.3333 0.8500
Zn 0.6667 0.3333 0.9500
S 0.0000 0.0000 0.0375
S 0.0000 0.0000 0.1875
S 0.0000 0.0000 0.3375
S 0.0000 0.0000 0.5375
S 0.0000 0.0000 0.6875
S 0.0000 0.0000 0.8375
S 0.3333 0.6667 0.0875
S 0.3333 0.6667 0.2375
S 0.3333 0.6667 0.3875
S 0.3333 0.6667 0.4875
S 0.3333 0.6667 0.6375
S 0.3333 0.6667 0.7875
S 0.3333 0.6667 0.9375
S 0.6667 0.3333 0.1375
S 0.6667 0.3333 0.2875
S 0.6667 0.3333 0.4375
S 0.6667 0.3333 0.5875
S 0.6667 0.3333 0.7375
S 0.6667 0.3333 0.8875
S 0.6667 0.3333 0.9875



Entry 6:
# ZnS
Theoretical powder X-ray diffraction pattern, copper Kα. Input: a cell relaxed with GGA-PBE.

Peak list (6 most intense, 5° ≤ 2θ ≤ 70°, low angle first)
two_theta	I_rel
27.94	81.1
28.34	74.3
28.61	100.0
47.19	90.5
47.75	43.7
55.97	60.6

Structural model:
Cell lengths 3.8520, 3.8520, 44.0848 Å; angles 90.00, 90.00, 120.00 degrees
Fractional coordinates of all 28 atoms:
Zn 0.0000 0.0000 0.0000
Zn 0.0000 0.0000 0.2143
Zn 0.0000 0.0000 0.5000
Zn 0.0000 0.0000 0.7143
Zn 0.3333 0.6667 0.0714
Zn 0.3333 0.6667 0.2857
Zn 0.3333 0.6667 0.4286
Zn 0.3333 0.6667 0.6429
Zn 0.3333 0.6667 0.8571
Zn 0.6667 0.3333 0.1429
Zn 0.6667 0.3333 0.3571
Zn 0.6667 0.3333 0.5714
Zn 0.6667 0.3333 0.7857
Zn 0.6667 0.3333 0.9286
S 0.0000 0.0000 0.0535
S 0.0000 0.0000 0.2678
S 0.0000 0.0000 0.5535
S 0.0000 0.0000 0.7678
S 0.3333 0.6667 0.1250
S 0.3333 0.6667 0.3392
S 0.3333 0.6667 0.4821
S 0.3333 0.6667 0.6964
S 0.3333 0.6667 0.9107
S 0.6667 0.3333 0.1964
S 0.6667 0.3333 0.4107
S 0.6667 0.3333 0.6250
S 0.6667 0.3333 0.8392
S 0.6667 0.3333 0.9821



Please write out number 6 again, unchanged.
# ZnS
Theoretical powder X-ray diffraction pattern, copper Kα. Input: a cell relaxed with GGA-PBE.

Peak list (6 most intense, 5° ≤ 2θ ≤ 70°, low angle first)
two_theta	I_rel
27.94	81.1
28.34	74.3
28.61	100.0
47.19	90.5
47.75	43.7
55.97	60.6

Structural model:
Cell lengths 3.8520, 3.8520, 44.0848 Å; angles 90.00, 90.00, 120.00 degrees
Fractional coordinates of all 28 atoms:
Zn 0.0000 0.0000 0.0000
Zn 0.0000 0.0000 0.2143
Zn 0.0000 0.0000 0.5000
Zn 0.0000 0.0000 0.7143
Zn 0.3333 0.6667 0.0714
Zn 0.3333 0.6667 0.2857
Zn 0.3333 0.6667 0.4286
Zn 0.3333 0.6667 0.6429
Zn 0.3333 0.6667 0.8571
Zn 0.6667 0.3333 0.1429
Zn 0.6667 0.3333 0.3571
Zn 0.6667 0.3333 0.5714
Zn 0.6667 0.3333 0.7857
Zn 0.6667 0.3333 0.9286
S 0.0000 0.0000 0.0535
S 0.0000 0.0000 0.2678
S 0.0000 0.0000 0.5535
S 0.0000 0.0000 0.7678
S 0.3333 0.6667 0.1250
S 0.3333 0.6667 0.3392
S 0.3333 0.6667 0.4821
S 0.3333 0.6667 0.6964
S 0.3333 0.6667 0.9107
S 0.6667 0.3333 0.1964
S 0.6667 0.3333 0.4107
S 0.6667 0.3333 0.6250
S 0.6667 0.3333 0.8392
S 0.6667 0.3333 0.9821